Entry 1:
Diffraction record for Er6Co2Rh. The powder diffractogram is simulated, not measured: it uses a cell relaxed with PBE and Cu Kα.
Intensities are scaled so that the largest is 100.

Main lines, sorted by position (2θ = 10–90°):
h k l  2theta  intensity
2 1 -2  30.52  100
1 0 2  30.84  81
0 2 2  31.55  36
1 0 -4  32.00  42
2 1 -3  32.32  56
1 2 1  34.19  47

Atomic structure:
Cell lengths 6.450, 7.065, 11.261 Å; angles 90.00, 122.30, 90.00 degrees
Space group P2_1/c (No. 14)
Symmetry-distinct sites (fractional):
Er (0.076, 0.050, 0.241) [4 per cell]
Er (0.234, 0.670, 0.083) [4 per cell]
Er (0.388, 0.165, 0.068) [4 per cell]
Co (0.319, 0.127, 0.784) [4 per cell]
Rh (0.500, 0.000, 0.500) [2 per cell]


Entry 2:
Diffraction record for Dy3ThSb4. The powder diffractogram is simulated, not measured: it uses a cell relaxed with PBE and Cu Kα.
Intensities are scaled so that the largest is 100.

Main lines, sorted by position (2θ = 10–90°):
h k l  2theta  intensity
2 0 1  28.58  100
0 0 2  40.85  77
0 4 2  50.61  27
2 0 3  66.95  18
2 8 1  67.02  18
2 4 3  74.33  13

Atomic structure:
Cell lengths 8.828, 12.487, 4.424 Å; angles 90.00, 90.00, 90.00 degrees
Space group Cmmm (No. 65)
Symmetry-distinct sites (fractional):
Dy (0.000, 0.000, 0.000) [2 per cell]
Dy (0.250, 0.250, 0.500) [4 per cell]
Th (0.000, 0.500, 0.000) [2 per cell]
Sb (0.000, 0.247, 0.000) [4 per cell]
Sb (0.244, 0.000, 0.500) [4 per cell]


Entry 3:
Diffraction record for RbCeDy4Se8. The powder diffractogram is simulated, not measured: it uses a cell relaxed with PBE and Cu Kα.
Intensities are scaled so that the largest is 100.

Main lines, sorted by position (2θ = 10–90°):
h k l  2theta  intensity
1 1 3  24.05  71
0 2 1  24.22  38
0 2 4  29.06  100
1 2 5  38.06  38
2 0 8  41.15  82
2 2 0  41.96  81

Atomic structure:
Cell lengths 8.6126, 8.6126, 21.6979 Å; angles 90.00, 90.00, 120.00 degrees
Space group R3m (No. 160, hexagonal axes)
Symmetry-distinct sites (fractional):
Rb (0.0000, 0.0000, 0.0000) [3 per cell]
Ce (0.0000, 0.0000, 0.3664) [3 per cell]
Dy (0.0000, 0.0000, 0.7449) [3 per cell]
Dy (0.0116, 0.5058, 0.8721) [9 per cell]
Se (0.0000, 0.0000, 0.1398) [3 per cell]
Se (0.0000, 0.0000, 0.6136) [3 per cell]
Se (0.0142, 0.5071, 0.1253) [9 per cell]
Se (0.1881, 0.3763, 0.9448) [9 per cell]


Entry 4:
Diffraction record for K3AsSe3. The powder diffractogram is simulated, not measured: it uses a cell relaxed with PBE and Cu Kα.
Intensities are scaled so that the largest is 100.

Main lines, sorted by position (2θ = 10–90°):
h k l  2theta  intensity
0 2 0  12.66  45
0 1 2  15.17  80
1 0 -2  20.55  57
1 3 -2  28.16  43
0 5 1  32.77  48
2 0 0  33.60  100

Atomic structure:
Cell lengths 5.362, 13.982, 12.919 Å; angles 90.00, 95.68, 90.00 degrees
Space group P2_1/c (No. 14)
Symmetry-distinct sites (fractional):
K (0.207, 0.105, 0.448) [4 per cell]
K (0.259, 0.517, 0.642) [4 per cell]
K (0.277, 0.222, 0.728) [4 per cell]
As (0.254, 0.701, 0.438) [4 per cell]
Se (0.233, 0.620, 0.270) [4 per cell]
Se (0.260, 0.627, 0.890) [4 per cell]
Se (0.323, 0.166, 0.984) [4 per cell]


Entry 5:
Diffraction record for CaPmHo4Se8. The powder diffractogram is simulated, not measured: it uses a cell relaxed with PBE and Cu Kα.
Intensities are scaled so that the largest is 100.

Main lines, sorted by position (2θ = 10–90°):
h k l  2theta  intensity
1 0 1  12.83  31
0 2 1  24.70  91
0 2 4  29.85  100
0 3 3  39.14  46
2 0 8  42.58  70
2 2 0  42.87  71

Atomic structure:
Cell lengths 8.4386, 8.4386, 20.8713 Å; angles 90.00, 90.00, 120.00 degrees
Space group R3m (No. 160, hexagonal axes)
Symmetry-distinct sites (fractional):
Ca (0.0000, 0.0000, 0.0000) [3 per cell]
Pm (0.0000, 0.0000, 0.3719) [3 per cell]
Ho (0.0000, 0.0000, 0.7482) [3 per cell]
Ho (0.0055, 0.5028, 0.8746) [9 per cell]
Se (0.0000, 0.0000, 0.1344) [3 per cell]
Se (0.0000, 0.0000, 0.6157) [3 per cell]
Se (0.0154, 0.5077, 0.1289) [9 per cell]
Se (0.1776, 0.3553, 0.9511) [9 per cell]


Entry 6:
Diffraction record for SmCu3Rh4O12. The powder diffractogram is simulated, not measured: it uses a cell relaxed with PBE and Cu Kα.
Intensities are scaled so that the largest is 100.

Main lines, sorted by position (2θ = 10–90°):
h k l  2theta  intensity
1 1 0  16.66  7
2 2 0  33.69  100
4 0 0  48.38  23
4 2 2  60.25  46
4 4 0  70.83  12
6 2 0  80.77  17

Atomic structure:
Cell lengths 7.525, 7.525, 7.525 Å; angles 90.00, 90.00, 90.00 degrees
Space group Im-3 (No. 204)
Symmetry-distinct sites (fractional):
Sm (0.000, 0.000, 0.000) [2 per cell]
Cu (0.000, 0.000, 0.500) [6 per cell]
Rh (0.250, 0.250, 0.250) [8 per cell]
O (0.000, 0.304, 0.164) [24 per cell]


Entry 7:
Diffraction record for Cs2TmSi2S6. The powder diffractogram is simulated, not measured: it uses a cell relaxed with PBE and Cu Kα.
Intensities are scaled so that the largest is 100.

Main lines, sorted by position (2θ = 10–90°):
h k l  2theta  intensity
1 1 1  22.58  81
0 2 0  24.65  100
1 1 -2  26.19  48
2 2 -2  33.67  91
5 1 -3  42.17  34
0 4 0  50.54  33

Atomic structure:
Cell lengths 12.512, 7.222, 7.939 Å; angles 90.00, 121.64, 90.00 degrees
Space group C2/m (No. 12)
Symmetry-distinct sites (fractional):
Cs (0.227, 0.000, 0.210) [4 per cell]
Tm (0.000, 0.000, 0.500) [2 per cell]
Si (0.056, 0.500, 0.195) [4 per cell]
S (0.018, 0.255, 0.764) [8 per cell]
S (0.247, 0.500, 0.295) [4 per cell]


Entry 8:
Diffraction record for Er4HgRu2. The powder diffractogram is simulated, not measured: it uses a cell relaxed with PBE and Cu Kα.
Intensities are scaled so that the largest is 100.

Main lines, sorted by position (2θ = 10–90°):
h k l  2theta  intensity
3 0 1  32.46  100
1 0 3  32.85  55
3 2 1  38.63  42
3 1 2  38.75  44
4 3 1  53.55  15
6 1 1  66.02  18

Atomic structure:
Cell lengths 8.730, 8.730, 8.610 Å; angles 90.00, 90.00, 90.00 degrees
Space group I-42d (No. 122)
Symmetry-distinct sites (fractional):
Er (0.071, 0.674, 0.424) [16 per cell]
Hg (0.000, 0.000, 0.500) [4 per cell]
Ru (0.138, 0.750, 0.125) [8 per cell]


Entry 9:
Diffraction record for Al2Si2H4O9. The powder diffractogram is simulated, not measured: it uses a cell relaxed with PBE and Cu Kα.
Intensities are scaled so that the largest is 100.

Main lines, sorted by position (2θ = 10–90°):
h k l  2theta  intensity
0 0 1  12.27  100
1 1 0  20.14  64
1 0 1  21.00  62
0 1 -1  22.86  43
0 0 2  24.68  72
-1 1 1  38.86  34

Atomic structure:
Cell lengths 5.213, 5.214, 7.470 Å; angles 84.24, 75.12, 60.25 degrees
Space group P1 (No. 1)
Symmetry-distinct sites (fractional):
Al (0.000, 0.000, 0.000) [1 per cell]
Al (0.328, 0.328, 0.003) [1 per cell]
Si (0.543, 0.311, 0.386) [1 per cell]
Si (0.885, 0.654, 0.384) [1 per cell]
H (0.068, 0.356, 0.748) [1 per cell]
H (0.410, 0.865, 0.152) [1 per cell]
H (0.436, 0.646, 0.746) [1 per cell]
H (0.754, 0.986, 0.746) [1 per cell]
O (0.105, 0.270, 0.867) [1 per cell]
O (0.175, 0.459, 0.480) [1 per cell]
O (0.224, 0.051, 0.151) [1 per cell]
O (0.327, 0.655, 0.874) [1 per cell]
O (0.611, 0.281, 0.163) [1 per cell]
O (0.648, 0.524, 0.456) [1 per cell]
O (0.707, 0.988, 0.480) [1 per cell]
O (0.715, 0.046, 0.874) [1 per cell]
O (0.991, 0.662, 0.161) [1 per cell]


Entry 10:
Diffraction record for Tm2Sc7. The powder diffractogram is simulated, not measured: it uses a cell relaxed with PBE and Cu Kα.
Intensities are scaled so that the largest is 100.

Main lines, sorted by position (2θ = 10–90°):
h k l  2theta  intensity
1 0 1  16.88  18
1 0 10  25.64  42
1 1 0  29.25  46
0 2 1  33.96  27
1 1 9  34.19  100
3 0 9  55.10  23

Atomic structure:
Cell lengths 6.1060, 6.1060, 46.0912 Å; angles 90.00, 90.00, 120.00 degrees
Space group R-3m (No. 166, hexagonal axes)
Symmetry-distinct sites (fractional):
Tm (0.0000, 0.0000, 0.0558) [6 per cell]
Tm (0.0000, 0.0000, 0.1546) [6 per cell]
Sc (0.0000, 0.0000, 0.2774) [6 per cell]
Sc (0.0000, 0.0000, 0.3891) [6 per cell]
Sc (0.0000, 0.0000, 0.5000) [3 per cell]
Sc (0.0000, 0.5000, 0.0000) [9 per cell]
Sc (0.0039, 0.5019, 0.8883) [18 per cell]


Entry 11:
Diffraction record for Tb2TmSi2Pt7. The powder diffractogram is simulated, not measured: it uses a cell relaxed with PBE and Cu Kα.
Intensities are scaled so that the largest is 100.

Main lines, sorted by position (2θ = 10–90°):
h k l  2theta  intensity
0 2 2  34.22  43
2 0 -3  34.75  61
2 0 2  36.17  81
0 2 3  37.36  100
2 2 -1  45.02  82
4 0 -1  65.30  31

Atomic structure:
Cell lengths 5.723, 5.678, 13.775 Å; angles 90.00, 98.65, 90.00 degrees
Space group C2/m (No. 12)
Symmetry-distinct sites (fractional):
Tb (0.116, 0.000, 0.356) [4 per cell]
Tm (0.000, 0.000, 0.000) [2 per cell]
Si (0.094, 0.500, 0.256) [4 per cell]
Pt (0.000, 0.500, 0.000) [2 per cell]
Pt (0.132, 0.500, 0.427) [4 per cell]
Pt (0.192, 0.250, 0.841) [8 per cell]


Entry 12:
Diffraction record for Rb2SnHg2. The powder diffractogram is simulated, not measured: it uses a cell relaxed with PBE and Cu Kα.
Intensities are scaled so that the largest is 100.

Main lines, sorted by position (2θ = 10–90°):
h k l  2theta  intensity
1 1 0  14.80  77
3 1 -2  29.87  58
2 2 -1  30.37  62
1 1 -3  31.59  59
2 2 1  32.53  100
4 0 -2  33.00  46

Atomic structure:
Cell lengths 11.818, 7.004, 9.299 Å; angles 90.00, 102.49, 90.00 degrees
Space group C2/c (No. 15)
Symmetry-distinct sites (fractional):
Rb (0.149, 0.123, 0.151) [8 per cell]
Sn (0.000, 0.376, 0.750) [4 per cell]
Hg (0.132, 0.373, 0.496) [8 per cell]


- Number 2 is which compound?
  Dy3ThSb4


- Which formula does entry 11 have?
  Tb2TmSi2Pt7